Entry 1:
For Sm12Tm7Cd, a crystal structure in Alexandria, relaxed with PBE gives the theoretical powder diffractogram in this record (Cu Kα X-rays).

Atomic structure:
```
data_Sm12Tm7Cd
_chemical_formula_sum 'Sm24 Tm14 Cd2'
_cell_length_a 11.444
_cell_length_b 11.444
_cell_length_c 11.444
_cell_angle_alpha 90.00
_cell_angle_beta 90.00
_cell_angle_gamma 90.00
_symmetry_space_group_name_H-M 'I m -3 m'
_symmetry_Int_Tables_number 229
_symmetry_space_group_name_Hall '-I 4 2 3'
loop_
_atom_site_label
_atom_site_fract_x
_atom_site_fract_y
_atom_site_fract_z
Sm1 0.000 0.233 0.233
Tm1 0.000 0.000 0.500
Tm2 0.250 0.250 0.250
Cd1 0.000 0.000 0.000
```

Most intense lines, 2θ = 15–90°, most intense first:
Position (°2θ)	Rel. int.	h k l
31.26	100	4 0 0
44.80	70	4 4 0
26.99	61	2 2 2
21.97	26	2 2 0
74.10	25	8 4 0
15.49	24	2 0 0

Entry 2:
For Sm7Tm2Cd2, a crystal structure in Alexandria, relaxed with PBE gives the theoretical powder diffractogram in this record (Cu Kα X-rays).

Atomic structure:
```
data_Sm7Tm2Cd2
_chemical_formula_sum 'Sm14 Tm4 Cd4'
_cell_length_a 8.770
_cell_length_b 9.710
_cell_length_c 8.571
_cell_angle_alpha 90.00
_cell_angle_beta 109.93
_cell_angle_gamma 90.00
_symmetry_space_group_name_H-M 'C 1 2/m 1'
_symmetry_Int_Tables_number 12
_symmetry_space_group_name_Hall '-C 2y'
loop_
_atom_site_label
_atom_site_fract_x
_atom_site_fract_y
_atom_site_fract_z
Sm1 0.000 0.000 0.000
Sm2 0.134 0.000 0.417
Sm3 0.197 0.323 0.174
Tm1 0.000 0.323 0.500
Cd1 0.120 0.500 0.822
```

Most intense lines, 2θ = 15–90°, most intense first:
Position (°2θ)	Rel. int.	h k l
33.01	100	1 3 1
31.97	90	3 1 -1
31.22	65	2 2 -2
34.89	59	1 3 -2
29.65	49	1 3 0
32.68	46	1 1 -3

Entry 3:
For Sm3TmCd, a crystal structure in Alexandria, relaxed with PBE gives the theoretical powder diffractogram in this record (Cu Kα X-rays).

Atomic structure:
```
data_Sm3TmCd
_chemical_formula_sum 'Sm12 Tm4 Cd4'
_cell_length_a 22.044
_cell_length_b 3.554
_cell_length_c 8.378
_cell_angle_alpha 90.00
_cell_angle_beta 107.54
_cell_angle_gamma 90.00
_symmetry_space_group_name_H-M 'C 1 2/m 1'
_symmetry_Int_Tables_number 12
_symmetry_space_group_name_Hall '-C 2y'
loop_
_atom_site_label
_atom_site_fract_x
_atom_site_fract_y
_atom_site_fract_z
Sm1 0.015 0.000 0.234
Sm2 0.122 0.500 0.045
Sm3 0.176 0.000 0.445
Tm1 0.232 0.500 0.819
Cd1 0.078 0.500 0.602
```

Most intense lines, 2θ = 15–90°, most intense first:
Position (°2θ)	Rel. int.	h k l
31.97	100	4 0 2
32.51	94	8 0 -1
33.62	93	3 1 -2
32.80	73	4 0 -3
28.33	57	1 1 1
31.76	57	3 1 1

Entry 4:
For Sm4TmCd, a crystal structure in Alexandria, relaxed with PBE gives the theoretical powder diffractogram in this record (Cu Kα X-rays).

Atomic structure:
```
data_Sm4TmCd
_chemical_formula_sum 'Sm4 Tm1 Cd1'
_cell_length_a 3.625
_cell_length_b 3.625
_cell_length_c 14.218
_cell_angle_alpha 90.00
_cell_angle_beta 90.00
_cell_angle_gamma 90.00
_symmetry_space_group_name_H-M 'P 4/m m m'
_symmetry_Int_Tables_number 123
_symmetry_space_group_name_Hall '-P 4 2'
loop_
_atom_site_label
_atom_site_fract_x
_atom_site_fract_y
_atom_site_fract_z
Sm1 0.000 0.000 0.148
Sm2 0.500 0.500 0.326
Tm1 0.000 0.000 0.500
Cd1 0.500 0.500 0.000
```

Most intense lines, 2θ = 15–90°, most intense first:
Position (°2θ)	Rel. int.	h k l
31.06	100	1 0 3
35.00	38	1 1 0
60.34	30	2 1 3
52.60	20	1 1 6
50.34	14	2 0 0
37.97	13	0 0 6

Entry 5:
For Sm3Tm2Cd2, a crystal structure in Alexandria, relaxed with PBE gives the theoretical powder diffractogram in this record (Cu Kα X-rays).

Atomic structure:
```
data_Sm3Tm2Cd2
_chemical_formula_sum 'Sm9 Tm6 Cd6'
_cell_length_a 5.4125
_cell_length_b 5.4125
_cell_length_c 23.9781
_cell_angle_alpha 90.00
_cell_angle_beta 90.00
_cell_angle_gamma 120.00
_symmetry_space_group_name_H-M 'R -3 m'
_symmetry_Int_Tables_number 166
_symmetry_space_group_name_Hall '-R 3 2"'
loop_
_atom_site_label
_atom_site_fract_x
_atom_site_fract_y
_atom_site_fract_z
Sm1 0.0000 0.0000 0.0000
Sm2 0.0000 0.0000 0.1581
Tm1 0.0000 0.0000 0.4269
Cd1 0.0000 0.0000 0.2895
```

Most intense lines, 2θ = 15–90°, most intense first:
Position (°2θ)	Rel. int.	h k l
33.10	100	1 1 0
32.37	92	1 0 7
58.67	33	2 1 7
46.98	33	0 2 7
59.13	19	3 0 0
57.29	19	0 1 14

Entry 6:
For Sm4Tm5Cd2, a crystal structure in Alexandria, relaxed with PBE gives the theoretical powder diffractogram in this record (Cu Kα X-rays).

Atomic structure:
```
data_Sm4Tm5Cd2
_chemical_formula_sum 'Sm4 Tm5 Cd2'
_cell_length_a 8.561
_cell_length_b 3.471
_cell_length_c 11.233
_cell_angle_alpha 90.00
_cell_angle_beta 93.73
_cell_angle_gamma 90.00
_symmetry_space_group_name_H-M 'P 1 2/m 1'
_symmetry_Int_Tables_number 10
_symmetry_space_group_name_Hall '-P 2y'
loop_
_atom_site_label
_atom_site_fract_x
_atom_site_fract_y
_atom_site_fract_z
Sm1 0.145 0.000 0.384
Sm2 0.283 0.000 0.951
Tm1 0.204 0.500 0.669
Tm2 0.427 0.500 0.208
Tm3 0.500 0.500 0.500
Cd1 0.054 0.500 0.131
```

Most intense lines, 2θ = 15–90°, most intense first:
Position (°2θ)	Rel. int.	h k l
31.92	100	3 0 -1
32.86	93	2 0 3
32.99	89	1 0 -4
31.74	66	1 1 -2
63.59	54	2 2 3
34.56	54	2 1 1

Entry 7:
For Sm3Y3Cd2, a crystal structure in Alexandria, relaxed with PBE gives the theoretical powder diffractogram in this record (Cu Kα X-rays).

Atomic structure:
```
data_Sm3Y3Cd2
_chemical_formula_sum 'Sm12 Y12 Cd8'
_cell_length_a 5.316
_cell_length_b 11.811
_cell_length_c 15.649
_cell_angle_alpha 90.00
_cell_angle_beta 90.00
_cell_angle_gamma 90.00
_symmetry_space_group_name_H-M 'C m c m'
_symmetry_Int_Tables_number 63
_symmetry_space_group_name_Hall '-C 2c 2'
loop_
_atom_site_label
_atom_site_fract_x
_atom_site_fract_y
_atom_site_fract_z
Sm1 0.000 0.038 0.107
Sm2 0.000 0.263 0.250
Y1 0.000 0.356 0.033
Y2 0.000 0.457 0.750
Cd1 0.000 0.230 0.638
```

Most intense lines, 2θ = 15–90°, most intense first:
Position (°2θ)	Rel. int.	h k l
29.34	100	1 1 4
33.12	99	1 3 3
33.72	73	2 0 0
34.10	61	1 1 5
46.36	30	0 0 8
30.82	30	0 4 1

Entry 8:
For Sm2YCd6, a crystal structure in Alexandria, relaxed with PBE gives the theoretical powder diffractogram in this record (Cu Kα X-rays).

Atomic structure:
```
data_Sm2YCd6
_chemical_formula_sum 'Sm2 Y1 Cd6'
_cell_length_a 8.6923
_cell_length_b 8.6923
_cell_length_c 3.4581
_cell_angle_alpha 90.00
_cell_angle_beta 90.00
_cell_angle_gamma 120.00
_symmetry_space_group_name_H-M 'P 6/m m m'
_symmetry_Int_Tables_number 191
_symmetry_space_group_name_Hall '-P 6 2'
loop_
_atom_site_label
_atom_site_fract_x
_atom_site_fract_y
_atom_site_fract_z
Sm1 0.3333 0.6667 0.0000
Y1 0.0000 0.0000 0.0000
Cd1 0.0000 0.3316 0.5000
```

Most intense lines, 2θ = 15–90°, most intense first:
Position (°2θ)	Rel. int.	h k l
33.10	100	1 1 1
35.78	87	3 0 0
49.54	32	2 2 1
62.61	31	4 1 1
65.57	28	3 0 2
64.30	15	3 3 0